Structure and calculated PXRD pattern of Cs6Sn3Cl14 (a structure optimized by DFT (PBE); Cu Ka).

Top 10 peaks for 15 to 90 degrees two-theta, by intensity:
two_theta  Rel. int.  index
20.07  100  0 2 1
18.16  51  2 -1 1
31.21  48  3 -1 2
39.60  46  4 1 0
24.97  40  2 1 1
32.74  36  3 1 1
27.37  31  0 2 2
27.78  30  3 0 1
22.54  29  1 2 0
36.62  27  2 0 3

Structural model:
Cell: 12.0532 12.0532 8.3415 Å, 90.00 90.00 120.00°
Space group P3 (No. 143)
Symmetry-distinct sites (fractional):
Cs 0.0539 0.5934 0.0000 [3 per cell]
Cs 0.2754 0.0699 0.4723 [3 per cell]
Sn 0.0000 0.0000 0.9188 [1 per cell]
Sn 0.3333 0.6667 0.4383 [1 per cell]
Sn 0.6667 0.3333 0.2576 [1 per cell]
Cl 0.0000 0.0000 0.2857 [1 per cell]
Cl 0.0517 0.8431 0.7580 [3 per cell]
Cl 0.1888 0.4592 0.2723 [3 per cell]
Cl 0.3333 0.6667 0.8119 [1 per cell]
Cl 0.4750 0.2044 0.0866 [3 per cell]
Cl 0.5362 0.3942 0.4266 [3 per cell]

=====

Structure and calculated PXRD pattern of Ni12Ge5B2 (a structure optimized by DFT (PBE); Cu Ka).

Top 10 peaks for 15 to 90 degrees two-theta, by intensity:
two_theta  Rel. int.  index
42.01  100  4 2 0
43.08  78  5 1 -2
46.24  55  0 0 3
50.93  52  1 3 -2
45.15  40  4 2 -2
40.04  39  2 2 -2
49.66  39  5 1 1
48.75  35  4 2 1
45.90  26  1 3 1
27.15  24  0 2 0

Structural model:
Cell: 12.1637 6.5637 6.2876 Å, 90.00 110.48 90.00°
Space group C2/m (No. 12)
Symmetry-distinct sites (fractional):
Ni 0.0131 0.0000 0.3129 [4 per cell]
Ni 0.0663 0.5000 0.6967 [4 per cell]
Ni 0.1116 0.1974 0.0245 [8 per cell]
Ni 0.1721 0.1992 0.6267 [8 per cell]
Ge 0.0000 0.5000 0.0000 [2 per cell]
Ge 0.2210 0.0000 0.3590 [4 per cell]
Ge 0.2350 0.5000 0.0496 [4 per cell]
B 0.0000 0.2494 0.5000 [4 per cell]

=====

Structure and calculated PXRD pattern of La8DyEr6 (a structure optimized by DFT (PBE); Cu Ka).

Top 10 peaks for 15 to 90 degrees two-theta, by intensity:
two_theta  Rel. int.  index
30.74  100  3 -2 1
32.16  63  1 3 0
26.51  48  2 0 1
52.06  32  1 3 2
39.80  23  0 0 2
59.64  21  3 4 1
33.29  18  0 3 1
36.83  17  2 2 1
44.12  15  5 -3 1
41.22  15  4 1 0

Structural model:
Cell: 11.5887 11.5887 4.5299 Å, 90.00 90.00 120.00°
Space group P-3 (No. 147)
Symmetry-distinct sites (fractional):
La 0.0786 0.3195 0.0005 [6 per cell]
La 0.3333 0.6667 0.9984 [2 per cell]
Dy 0.0000 0.0000 0.5000 [1 per cell]
Er 0.1361 0.6511 0.4987 [6 per cell]

=====

Structure and calculated PXRD pattern of Ba3Ge2B6O16 (a structure optimized by DFT (PBE); Cu Ka).

Top 10 peaks for 15 to 90 degrees two-theta, by intensity:
two_theta  Rel. int.  index
29.10  100  1 -2 0
28.42  72  1 2 1
31.01  67  -1 1 2
26.73  53  1 1 -1
23.52  48  0 2 1
26.59  47  0 1 -2
18.48  43  1 0 1
34.88  37  2 0 1
42.41  31  2 2 2
39.41  29  0 3 -1

Structural model:
Cell: 5.1647 7.7870 8.7454 Å, 77.31 77.33 88.59°
Space group P-1 (No. 2)
Symmetry-distinct sites (fractional):
Ba 0.0000 0.0000 0.0000 [1 per cell]
Ba 0.1111 0.5811 0.7438 [2 per cell]
Ge 0.2811 0.1724 0.5585 [2 per cell]
B 0.2965 0.7586 0.2964 [2 per cell]
B 0.4628 0.3006 0.9716 [2 per cell]
B 0.4663 0.0906 0.2478 [2 per cell]
O 0.0042 0.7149 0.3686 [2 per cell]
O 0.1990 0.3231 0.9934 [2 per cell]
O 0.2740 0.1812 0.3562 [2 per cell]
O 0.2929 0.9593 0.6806 [2 per cell]
O 0.3495 0.9417 0.2093 [2 per cell]
O 0.3659 0.6402 0.1807 [2 per cell]
O 0.4150 0.7803 0.9033 [2 per cell]
O 0.4404 0.7056 0.4302 [2 per cell]

=====

Structure and calculated PXRD pattern of Ta2Mo5 (a structure optimized by DFT (PBE); Cu Ka).

Top 10 peaks for 15 to 90 degrees two-theta, by intensity:
two_theta  Rel. int.  index
39.75  100  1 1 0
39.86  99  1 0 7
72.22  34  2 1 7
57.55  33  0 2 7
72.14  18  3 0 0
72.44  17  0 1 14
85.66  12  2 2 0
85.95  11  2 0 14
29.28  8  1 0 4
23.10  6  1 0 1

Structural model:
Cell: 4.5356 4.5356 19.3644 Å, 90.00 90.00 120.00°
Space group R-3m (No. 166, hexagonal axes)
Symmetry-distinct sites (fractional):
Ta 0.0000 0.0000 0.1412 [6 per cell]
Mo 0.0000 0.0000 0.0000 [3 per cell]
Mo 0.0000 0.0000 0.2866 [6 per cell]
Mo 0.0000 0.0000 0.4276 [6 per cell]

=====

Structure and calculated PXRD pattern of Ho3ThSc4 (a structure optimized by DFT (PBE); Cu Ka).

Top 10 peaks for 15 to 90 degrees two-theta, by intensity:
two_theta  Rel. int.  index
31.97  100  1 1 2
16.08  70  0 2 0
32.98  70  0 2 4
39.64  56  1 3 2
32.49  38  0 4 0
58.27  31  0 6 4
52.15  26  1 5 2
52.82  23  1 1 6
28.60  18  0 0 4
66.84  18  2 2 4

Structural model:
Cell: 3.2667 11.0246 12.4839 Å, 90.00 90.00 90.00°
Space group Immm (No. 71)
Symmetry-distinct sites (fractional):
Ho 0.0000 0.0000 0.0000 [2 per cell]
Ho 0.0000 0.5000 0.2386 [4 per cell]
Th 0.0000 0.0000 0.5000 [2 per cell]
Sc 0.0000 0.2517 0.3645 [8 per cell]

=====

Structure and calculated PXRD pattern of Ho3TmAl8 (a structure optimized by DFT (PBE); Cu Ka).

Top 10 peaks for 15 to 90 degrees two-theta, by intensity:
two_theta  Rel. int.  index
35.12  100  0 1 3
32.39  76  1 1 0
38.13  66  1 1 2
18.53  42  1 0 0
59.55  42  1 2 3
20.98  34  0 1 1
38.91  30  2 0 1
19.59  21  0 0 2
78.71  19  3 1 3
48.52  19  2 0 3

Structural model:
Cell: 5.5287 5.5287 9.0648 Å, 90.00 90.00 120.00°
Space group P3m1 (No. 156)
Symmetry-distinct sites (fractional):
Ho 0.0000 0.0000 0.0000 [1 per cell]
Ho 0.0000 0.0000 0.3649 [1 per cell]
Ho 0.3333 0.6667 0.8644 [1 per cell]
Tm 0.3333 0.6667 0.4996 [1 per cell]
Al 0.0092 0.5046 0.1825 [3 per cell]
Al 0.3241 0.1621 0.6815 [3 per cell]
Al 0.6667 0.3333 0.4324 [1 per cell]
Al 0.6667 0.3333 0.9317 [1 per cell]

=====

Structure and calculated PXRD pattern of Sm4ErTh3 (a structure optimized by DFT (PBE); Cu Ka).

Top 10 peaks for 15 to 90 degrees two-theta, by intensity:
two_theta  Rel. int.  index
30.45  100  1 2 2
35.40  34  2 0 0
60.50  29  3 2 2
50.72  24  2 0 4
35.12  17  0 0 4
60.13  14  1 2 6
63.37  12  2 4 4
50.93  12  2 4 0
82.63  12  3 2 6
82.95  6  3 6 2

Structural model:
Cell: 5.0682 10.1499 10.2214 Å, 90.00 90.00 90.00°
Space group Pmmn (No. 59, origin choice 2)
Symmetry-distinct sites (fractional):
Sm 0.2500 0.0006 0.1318 [4 per cell]
Sm 0.2500 0.2500 0.8707 [2 per cell]
Sm 0.2500 0.7500 0.8651 [2 per cell]
Er 0.2500 0.7500 0.3804 [2 per cell]
Th 0.2500 0.2500 0.3795 [2 per cell]
Th 0.2500 0.5020 0.6196 [4 per cell]